Starting from a crystal structure in Alexandria, relaxed with GGA-PBE, the X-ray diffraction stick pattern of Pu4InBi12 was computed for CuKα.

The 12 most intense peaks (5 to 70 degrees two-theta), in order of rising 2θ:
| two_theta | I/Imax | hkl |
| --- | --- | --- |
| 26.0 | 521 | 1 1 1 |
| 31.2 | 1000 | 1 1 -3 |
| 32.4 | 475 | -2 2 2 |
| 33.3 | 420 | -3 1 1 |
| 35.1 | 112 | 1 1 2 |
| 36.8 | 313 | 2 -2 2 |
| 36.9 | 307 | 2 2 -2 |
| 44.9 | 112 | 0 0 4 |
| 54.5 | 251 | 4 0 -4 |
| 54.8 | 122 | 0 4 -4 |
| 57.1 | 210 | -3 1 5 |
| 65.1 | 139 | 2 2 -6 |

Atomic structure:
Unit cell a=8.069 b=8.803 c=8.820 alpha=98.96 beta=107.69 gamma=107.93
Space group P-1 (No. 2)
Symmetry-distinct sites (fractional):
1 Pu 0.000 0.000 0.000 [1 per cell]
2 Pu 0.000 0.500 0.500 [1 per cell]
3 Pu 0.500 0.000 0.500 [1 per cell]
4 Pu 0.500 0.500 0.000 [1 per cell]
5 In 0.000 0.000 0.500 [1 per cell]
6 Bi 0.005 0.270 0.770 [2 per cell]
7 Bi 0.222 0.468 0.229 [2 per cell]
8 Bi 0.223 0.730 0.969 [2 per cell]
9 Bi 0.323 0.058 0.817 [2 per cell]
10 Bi 0.324 0.319 0.559 [2 per cell]
11 Bi 0.500 0.241 0.258 [2 per cell]